For LaZn4Rh, a structure optimized by DFT (GGA-PBE) gives the simulated powder diffraction line list in this record (Cu Kα, 1.54184 Å).
Peak positions follow from Bragg's law for the DFT cell and can differ from measured ones.

Structural model:
abc: 7.309 7.309 6.865
angles: 90.00 90.00 141.42
Fractional positions:
La 0.110 0.890 0.750
La 0.890 0.110 0.250
Zn 0.106 0.894 0.250
Zn 0.277 0.723 0.072
Zn 0.277 0.723 0.428
Zn 0.500 0.500 0.000
Zn 0.500 0.500 0.500
Zn 0.723 0.277 0.572
Zn 0.723 0.277 0.928
Zn 0.894 0.106 0.750
Rh 0.364 0.636 0.750
Rh 0.636 0.364 0.250

Most intense lines, 2θ = 15–90°, low angle first:
2θ 29.8, rel. 53; 2θ 32.7, rel. 48; 2θ 36.9, rel. 100; 2θ 37.2, rel. 73; 2θ 37.5, rel. 58; 2θ 39.8, rel. 24; 2θ 44.3, rel. 43; 2θ 53.4, rel. 78